1.
Calculated powder diffraction line list
Compound: GdYC2Cl2
Radiation: Cu Ka
Structure: a crystal structure in OQMD, relaxed with GGA-PBE

Crystal structure
Cell: 6.958 3.759 10.733 Å, 90.00 95.35 90.00°
Fractional coordinates of all 12 atoms:
Gd  0.000  0.000  0.000
Gd  0.500  0.500  0.000
Y  0.209  0.500  0.721
Y  0.709  0.000  0.721
C  0.281  0.000  0.895
C  0.428  0.000  0.823
C  0.781  0.500  0.895
C  0.928  0.500  0.823
Cl  0.034  0.000  0.562
Cl  0.177  0.500  0.161
Cl  0.534  0.500  0.562
Cl  0.677  0.000  0.161

Peak list (12 most intense, 10 to 90 degrees two-theta, sorted by position)
- 2θ = 16.6°, d = 5.343 Å, I 30
- 2θ = 27.0°, d = 3.304 Å, I 50
- 2θ = 27.9°, d = 3.197 Å, I 38
- 2θ = 29.4°, d = 3.039 Å, I 72
- 2θ = 31.2°, d = 2.868 Å, I 35
- 2θ = 32.1°, d = 2.790 Å, I 22
- 2θ = 32.5°, d = 2.756 Å, I 100
- 2θ = 38.0°, d = 2.371 Å, I 53
- 2θ = 42.6°, d = 2.124 Å, I 35
- 2θ = 46.1°, d = 1.968 Å, I 35
- 2θ = 49.8°, d = 1.832 Å, I 22
- 2θ = 57.7°, d = 1.598 Å, I 21

***

2.
Calculated powder diffraction line list
Compound: Li4Al3Ag
Radiation: Cu Ka
Structure: a crystal structure in OQMD, relaxed with GGA-PBE

Crystal structure
Cell: 4.402 4.402 6.325 Å, 90.00 90.00 90.00°
Fractional coordinates of all 8 atoms:
Li  0.000  0.000  0.000
Li  0.000  0.500  0.748
Li  0.500  0.000  0.252
Li  0.500  0.500  0.500
Al  0.000  0.500  0.254
Al  0.500  0.000  0.746
Al  0.500  0.500  0.000
Ag  0.000  0.000  0.500

Peak list (12 most intense, 10 to 90 degrees two-theta, sorted by position)
- 2θ = 14.0°, d = 6.325 Å, I 35
- 2θ = 20.2°, d = 4.402 Å, I 30
- 2θ = 24.6°, d = 3.613 Å, I 100
- 2θ = 28.7°, d = 3.112 Å, I 13
- 2θ = 32.0°, d = 2.793 Å, I 19
- 2θ = 34.9°, d = 2.568 Å, I 16
- 2θ = 40.7°, d = 2.218 Å, I 63
- 2θ = 41.0°, d = 2.201 Å, I 31
- 2θ = 47.8°, d = 1.902 Å, I 16
- 2θ = 48.4°, d = 1.880 Å, I 30
- 2θ = 64.8°, d = 1.439 Å, I 12
- 2θ = 74.5°, d = 1.274 Å, I 20

***

3.
Calculated powder diffraction line list
Compound: Nd2Y2CICl4
Radiation: Cu Ka
Structure: a crystal structure in OQMD, relaxed with GGA-PBE

Crystal structure
Cell: 8.852 8.852 8.874 Å, 103.22 103.22 25.39°
Fractional coordinates of all 10 atoms:
Nd  0.001  0.001  0.305
Nd  0.999  0.999  0.695
Y  0.357  0.357  0.428
Y  0.643  0.643  0.572
C  0.500  0.500  0.500
I  0.500  0.500  0.000
Cl  0.169  0.169  0.793
Cl  0.175  0.175  0.371
Cl  0.825  0.825  0.629
Cl  0.831  0.831  0.207

Peak list (12 most intense, 10 to 90 degrees two-theta, sorted by position)
- 2θ = 10.3°, d = 8.626 Å, I 41
- 2θ = 10.5°, d = 8.395 Å, I 100
- 2θ = 21.2°, d = 4.187 Å, I 22
- 2θ = 28.5°, d = 3.136 Å, I 19
- 2θ = 30.6°, d = 2.925 Å, I 86
- 2θ = 31.1°, d = 2.874 Å, I 34
- 2θ = 32.0°, d = 2.798 Å, I 39
- 2θ = 35.3°, d = 2.543 Å, I 24
- 2θ = 38.3°, d = 2.352 Å, I 15
- 2θ = 44.5°, d = 2.038 Å, I 22
- 2θ = 45.2°, d = 2.007 Å, I 23
- 2θ = 46.7°, d = 1.946 Å, I 16

***

4.
Calculated powder diffraction line list
Compound: LaNdIr2N2O2
Radiation: Cu Ka
Structure: a crystal structure in OQMD, relaxed with GGA-PBE

Crystal structure
Cell: 4.022 4.022 7.637 Å, 90.00 90.00 90.00°
Fractional coordinates of all 8 atoms:
La  0.000  0.000  0.000
Nd  0.500  0.500  0.684
Ir  0.000  0.500  0.342
Ir  0.500  0.000  0.342
N  0.000  0.000  0.424
N  0.500  0.500  0.247
O  0.000  0.500  0.838
O  0.500  0.000  0.838

Peak list (12 most intense, 10 to 90 degrees two-theta, sorted by position)
- 2θ = 11.6°, d = 7.637 Å, I 60
- 2θ = 23.3°, d = 3.818 Å, I 28
- 2θ = 25.0°, d = 3.559 Å, I 46
- 2θ = 32.3°, d = 2.769 Å, I 40
- 2θ = 33.6°, d = 2.665 Å, I 100
- 2θ = 35.3°, d = 2.546 Å, I 38
- 2θ = 39.5°, d = 2.281 Å, I 75
- 2θ = 45.1°, d = 2.011 Å, I 50
- 2θ = 58.2°, d = 1.585 Å, I 35
- 2θ = 58.5°, d = 1.578 Å, I 36
- 2θ = 75.8°, d = 1.255 Å, I 21
- 2θ = 79.4°, d = 1.207 Å, I 20

***

5.
Calculated powder diffraction line list
Compound: FeSb6Pb4Se14
Radiation: Cu Ka
Structure: a crystal structure in OQMD, relaxed with GGA-PBE

Crystal structure
Cell: 4.163 20.149 16.889 Å, 90.00 92.92 90.00°
Fractional coordinates of all 50 atoms:
Fe  0.000  0.000  0.000
Fe  0.000  0.500  0.500
Sb  0.365  0.161  0.373
Sb  0.365  0.339  0.873
Sb  0.379  0.055  0.604
Sb  0.379  0.445  0.104
Sb  0.420  0.562  0.317
Sb  0.420  0.938  0.817
Sb  0.580  0.062  0.183
Sb  0.580  0.438  0.683
Sb  0.621  0.555  0.896
Sb  0.621  0.945  0.396
Sb  0.635  0.661  0.127
Sb  0.635  0.839  0.627
Pb  0.039  0.634  0.690
Pb  0.039  0.866  0.190
Pb  0.073  0.741  0.933
Pb  0.073  0.759  0.433
Pb  0.927  0.241  0.567
Pb  0.927  0.259  0.067
Pb  0.961  0.134  0.810
Pb  0.961  0.366  0.310
Se  0.013  0.103  0.082
Se  0.013  0.397  0.582
Se  0.043  0.506  0.786
Se  0.043  0.994  0.286
Se  0.086  0.601  0.003
Se  0.086  0.899  0.503
Se  0.133  0.701  0.223
Se  0.133  0.799  0.723
Se  0.402  0.226  0.947
Se  0.402  0.274  0.447
Se  0.437  0.167  0.683
Se  0.437  0.333  0.183
Se  0.482  0.045  0.908
Se  0.482  0.455  0.408
Se  0.518  0.545  0.592
Se  0.518  0.955  0.092
Se  0.563  0.667  0.817
Se  0.563  0.833  0.317
Se  0.598  0.726  0.553
Se  0.598  0.774  0.053
Se  0.867  0.201  0.277
Se  0.867  0.299  0.777
Se  0.914  0.101  0.497
Se  0.914  0.399  0.997
Se  0.957  0.006  0.714
Se  0.957  0.494  0.214
Se  0.987  0.603  0.418
Se  0.987  0.897  0.918

Peak list (12 most intense, 10 to 90 degrees two-theta, sorted by position)
- 2θ = 21.5°, d = 4.127 Å, I 27
- 2θ = 24.5°, d = 3.636 Å, I 56
- 2θ = 27.2°, d = 3.275 Å, I 38
- 2θ = 28.6°, d = 3.120 Å, I 34
- 2θ = 28.7°, d = 3.106 Å, I 35
- 2θ = 29.7°, d = 3.005 Å, I 100
- 2θ = 30.4°, d = 2.936 Å, I 57
- 2θ = 30.7°, d = 2.910 Å, I 34
- 2θ = 31.0°, d = 2.883 Å, I 49
- 2θ = 31.3°, d = 2.859 Å, I 28
- 2θ = 41.9°, d = 2.155 Å, I 77
- 2θ = 43.8°, d = 2.067 Å, I 45

***

6.
Calculated powder diffraction line list
Compound: RbErPbS3
Radiation: Cu Ka
Structure: a crystal structure in OQMD, relaxed with GGA-PBE

Crystal structure
Cell: 8.879 8.879 11.517 Å, 90.00 90.00 154.04°
Fractional coordinates of all 12 atoms:
Rb  0.170  0.830  0.750
Rb  0.830  0.170  0.250
Er  0.500  0.500  0.000
Er  0.500  0.500  0.500
Pb  0.112  0.888  0.250
Pb  0.888  0.112  0.750
S  0.105  0.895  0.003
S  0.105  0.895  0.497
S  0.496  0.504  0.750
S  0.504  0.496  0.250
S  0.895  0.105  0.503
S  0.895  0.105  0.997

Peak list (12 most intense, 10 to 90 degrees two-theta, sorted by position)
- 2θ = 10.2°, d = 8.653 Å, I 100
- 2θ = 12.8°, d = 6.918 Å, I 45
- 2θ = 18.5°, d = 4.794 Å, I 32
- 2θ = 25.8°, d = 3.459 Å, I 51
- 2θ = 27.2°, d = 3.281 Å, I 88
- 2θ = 27.7°, d = 3.222 Å, I 72
- 2θ = 28.3°, d = 3.155 Å, I 29
- 2θ = 31.1°, d = 2.880 Å, I 59
- 2θ = 34.3°, d = 2.614 Å, I 45
- 2θ = 41.7°, d = 2.164 Å, I 64
- 2θ = 46.9°, d = 1.935 Å, I 37
- 2θ = 53.0°, d = 1.729 Å, I 31

***

7.
Calculated powder diffraction line list
Compound: PaNi3
Radiation: Cu Ka
Structure: a crystal structure in OQMD, relaxed with GGA-PBE

Crystal structure
Cell: 5.349 5.349 4.624 Å, 90.00 90.00 120.00°
Fractional coordinates of all 8 atoms:
Pa  0.333  0.667  0.250
Pa  0.667  0.333  0.750
Ni  0.158  0.316  0.750
Ni  0.158  0.842  0.750
Ni  0.316  0.158  0.250
Ni  0.684  0.842  0.750
Ni  0.842  0.158  0.250
Ni  0.842  0.684  0.250

Peak list (12 most intense, 10 to 90 degrees two-theta, sorted by position)
- 2θ = 19.2°, d = 4.632 Å, I 13
- 2θ = 27.3°, d = 3.273 Å, I 54
- 2θ = 33.5°, d = 2.674 Å, I 20
- 2θ = 38.9°, d = 2.314 Å, I 53
- 2θ = 43.7°, d = 2.071 Å, I 100
- 2θ = 52.3°, d = 1.750 Å, I 17
- 2θ = 56.2°, d = 1.637 Å, I 27
- 2θ = 70.4°, d = 1.337 Å, I 15
- 2θ = 73.9°, d = 1.283 Å, I 20
- 2θ = 83.5°, d = 1.158 Å, I 21
- 2θ = 83.6°, d = 1.156 Å, I 8
- 2θ = 86.7°, d = 1.123 Å, I 14

***

8.
Calculated powder diffraction line list
Compound: LiOsSeO
Radiation: Cu Ka
Structure: a crystal structure in OQMD, relaxed with GGA-PBE

Crystal structure
Cell: 5.466 4.928 9.156 Å, 90.00 103.25 90.00°
Fractional coordinates of all 16 atoms:
Li  0.086  0.000  0.316
Li  0.226  0.761  0.959
Li  0.774  0.261  0.041
Li  0.914  0.500  0.684
Os  0.131  0.034  0.647
Os  0.422  0.688  0.645
Os  0.578  0.188  0.355
Os  0.869  0.534  0.353
Se  0.183  0.429  0.210
Se  0.374  0.353  0.843
Se  0.626  0.853  0.157
Se  0.817  0.929  0.790
O  0.118  0.419  0.544
O  0.393  0.932  0.453
O  0.607  0.432  0.547
O  0.882  0.919  0.456

Peak list (12 most intense, 10 to 90 degrees two-theta, sorted by position)
- 2θ = 17.3°, d = 5.113 Å, I 41
- 2θ = 19.9°, d = 4.456 Å, I 37
- 2θ = 20.6°, d = 4.313 Å, I 42
- 2θ = 25.1°, d = 3.548 Å, I 49
- 2θ = 27.0°, d = 3.305 Å, I 42
- 2θ = 28.0°, d = 3.182 Å, I 100
- 2θ = 29.3°, d = 3.050 Å, I 75
- 2θ = 34.3°, d = 2.616 Å, I 43
- 2θ = 37.7°, d = 2.385 Å, I 43
- 2θ = 38.5°, d = 2.341 Å, I 34
- 2θ = 51.5°, d = 1.775 Å, I 37
- 2θ = 53.7°, d = 1.708 Å, I 45